Computed powder XRD pattern
Compound: Sm14YCd
Radiation: Cu Kα
Structure: a crystal structure in Alexandria, relaxed with GGA-PBE
No peak broadening, texture or thermal motion is included.

Peak list (10 most intense, 2θ from 10° to 90°, by angle)
d/Å, 2θ (°), intensity, (hkl)
2.931, 30.50, 100, 2 2 2
2.548, 35.22, 17, 4 0 0
2.534, 35.43, 34, 0 4 0
1.797, 50.82, 24, 4 4 0
1.792, 50.97, 12, 0 4 4
1.535, 60.30, 14, 6 2 2
1.529, 60.57, 28, 2 6 2
1.466, 63.47, 12, 4 4 4
1.166, 82.81, 12, 6 6 2
1.163, 83.05, 6, 2 6 6

Crystal structure
a = 10.1917 Å, b = 10.1329 Å, c = 10.1369 Å
α = 90.00°, β = 90.00°, γ = 90.00°
Space group Amm2 (No. 38)
Unique sites:
Sm: 0.0000 0.0000 0.0000 x2
Sm: 0.0000 0.0000 0.5000 x2
Sm: 0.0000 0.2501 0.2501 x4
Sm: 0.2534 0.0000 0.2508 x4
Sm: 0.2537 0.0000 0.7491 x4
Sm: 0.2536 0.2489 0.5000 x8
Sm: 0.5000 0.2495 0.2501 x4
Y: 0.5000 0.0000 0.9998 x2
Cd: 0.5000 0.0000 0.4998 x2